This entry pairs a crystal structure of BeNb3B3 with its simulated powder diffractogram. Radiation: λ = 1.5418 Å (Cu Kα). Structure: a structure optimized by DFT (PBE).
Intensities are scaled so that the largest is 100.

Structure:
```
data_BeNb3B3
_space_group_name_H-M_alt 'I m m 2'
_space_group_IT_number 44
_space_group_name_Hall 'I 2 -2'
_cell_length_a 3.2022
_cell_length_b 3.3205
_cell_length_c 14.4422
_cell_angle_alpha 90.00
_cell_angle_beta 90.00
_cell_angle_gamma 90.00
loop_
_atom_site_label
_atom_site_type_symbol
_atom_site_fract_x
_atom_site_fract_y
_atom_site_fract_z
Be1 Be 0.0000 0.0000 0.0000
Nb1 Nb 0.0000 0.0000 0.5665
Nb2 Nb 0.0000 0.5000 0.2495
Nb3 Nb 0.0000 0.5000 0.8767
B1 B 0.0000 0.0000 0.1318
B2 B 0.0000 0.5000 0.4271
B3 B 0.0000 0.5000 0.6974
```

Main lines, low angle first (10 to 80 degrees two-theta):
- (0 1 1), 2θ = 27.6°, 3.236 Å, I = 54
- (1 0 3), 2θ = 33.6°, 2.666 Å, I = 100
- (0 0 6), 2θ = 37.4°, 2.407 Å, I = 30
- (1 1 2), 2θ = 41.1°, 2.196 Å, I = 100
- (0 1 5), 2θ = 41.4°, 2.179 Å, I = 68
- (1 1 4), 2θ = 46.8°, 1.943 Å, I = 15
- (0 2 0), 2θ = 55.3°, 1.660 Å, I = 17
- (2 0 0), 2θ = 57.6°, 1.601 Å, I = 15
- (1 0 9), 2θ = 65.0°, 1.435 Å, I = 18
- (1 1 8), 2θ = 65.7°, 1.421 Å, I = 29
- (1 2 3), 2θ = 66.3°, 1.409 Å, I = 27
- (2 1 5), 2θ = 73.4°, 1.290 Å, I = 24


This entry pairs a crystal structure of Nd2ZnAs4Pd3 with its simulated powder diffractogram. Radiation: λ = 1.5418 Å (Cu Kα). Structure: a structure optimized by DFT (PBE).
Intensities are scaled so that the largest is 100.

Structure:
```
data_Nd2ZnAs4Pd3
_space_group_name_H-M_alt 'P -4 m 2'
_space_group_IT_number 115
_space_group_name_Hall 'P -4 -2'
_cell_length_a 4.2705
_cell_length_b 4.2705
_cell_length_c 10.8055
_cell_angle_alpha 90.00
_cell_angle_beta 90.00
_cell_angle_gamma 90.00
loop_
_atom_site_label
_atom_site_type_symbol
_atom_site_fract_x
_atom_site_fract_y
_atom_site_fract_z
Nd1 Nd 0.0000 0.5000 0.2481
Zn1 Zn 0.5000 0.5000 0.0000
As1 As 0.0000 0.0000 0.5000
As2 As 0.0000 0.5000 0.8616
As3 As 0.5000 0.5000 0.5000
Pd1 Pd 0.0000 0.0000 0.0000
Pd2 Pd 0.0000 0.5000 0.6346
```

Main lines, low angle first (10 to 80 degrees two-theta):
- (1 1 0), 2θ = 29.6°, 3.020 Å, I = 17
- (1 0 3), 2θ = 32.5°, 2.753 Å, I = 60
- (1 1 2), 2θ = 34.0°, 2.636 Å, I = 100
- (2 0 0), 2θ = 42.3°, 2.135 Å, I = 59
- (1 1 4), 2θ = 45.0°, 2.013 Å, I = 16
- (1 0 5), 2θ = 47.1°, 1.928 Å, I = 34
- (2 1 3), 2θ = 54.4°, 1.687 Å, I = 27
- (1 1 6), 2θ = 59.8°, 1.547 Å, I = 9
- (2 2 0), 2θ = 61.4°, 1.510 Å, I = 19
- (2 1 5), 2θ = 65.2°, 1.431 Å, I = 26
- (0 0 8), 2θ = 69.6°, 1.351 Å, I = 9
- (3 1 2), 2θ = 72.1°, 1.310 Å, I = 22


This entry pairs a crystal structure of Te2OsPb with its simulated powder diffractogram. Radiation: λ = 1.5418 Å (Cu Kα). Structure: a structure optimized by DFT (PBE).
Intensities are scaled so that the largest is 100.

Structure:
```
data_Te2OsPb
_space_group_name_H-M_alt 'P 4 m m'
_space_group_IT_number 99
_space_group_name_Hall 'P 4 -2'
_cell_length_a 3.2188
_cell_length_b 3.2188
_cell_length_c 9.9871
_cell_angle_alpha 90.00
_cell_angle_beta 90.00
_cell_angle_gamma 90.00
loop_
_atom_site_label
_atom_site_type_symbol
_atom_site_fract_x
_atom_site_fract_y
_atom_site_fract_z
Te1 Te 0.0000 0.0000 0.0000
Te2 Te 0.5000 0.5000 0.3323
Os1 Os 0.0000 0.0000 0.4792
Pb1 Pb 0.5000 0.5000 0.6992
```

Main lines, low angle first (10 to 80 degrees two-theta):
- (0 0 3), 2θ = 26.8°, 3.329 Å, I = 14
- (1 0 2), 2θ = 33.1°, 2.705 Å, I = 100
- (1 0 3), 2θ = 38.9°, 2.314 Å, I = 27
- (1 1 0), 2θ = 39.6°, 2.276 Å, I = 44
- (1 0 4), 2θ = 46.0°, 1.973 Å, I = 11
- (1 1 3), 2θ = 48.4°, 1.879 Å, I = 11
- (1 0 5), 2θ = 54.0°, 1.697 Å, I = 9
- (1 1 4), 2θ = 54.6°, 1.682 Å, I = 10
- (2 0 0), 2θ = 57.2°, 1.609 Å, I = 15
- (2 1 2), 2θ = 67.7°, 1.383 Å, I = 26
- (1 1 6), 2θ = 70.0°, 1.344 Å, I = 8
- (2 1 3), 2θ = 71.4°, 1.321 Å, I = 9


This entry pairs a crystal structure of PaAlSi2Tc with its simulated powder diffractogram. Radiation: λ = 1.5418 Å (Cu Kα). Structure: a structure optimized by DFT (PBE).
Intensities are scaled so that the largest is 100.

Structure:
```
data_PaAlSi2Tc
_space_group_name_H-M_alt 'P m m a'
_space_group_IT_number 51
_space_group_name_Hall '-P 2a 2a'
_cell_length_a 5.6920
_cell_length_b 5.4418
_cell_length_c 5.6252
_cell_angle_alpha 90.00
_cell_angle_beta 90.00
_cell_angle_gamma 90.00
loop_
_atom_site_label
_atom_site_type_symbol
_atom_site_fract_x
_atom_site_fract_y
_atom_site_fract_z
Pa1 Pa 0.2500 0.0000 0.2194
Al1 Al 0.2500 0.5000 0.3811
Si1 Si 0.2500 0.2228 0.7348
Tc1 Tc 0.0000 0.5000 0.0000
```

Main lines, low angle first (10 to 80 degrees two-theta):
- (0 0 1), 2θ = 15.8°, 5.625 Å, I = 36
- (0 1 0), 2θ = 16.3°, 5.442 Å, I = 24
- (1 0 1), 2θ = 22.2°, 4.001 Å, I = 74
- (1 1 1), 2θ = 27.7°, 3.224 Å, I = 100
- (0 2 0), 2θ = 32.9°, 2.721 Å, I = 39
- (2 1 0), 2θ = 35.6°, 2.522 Å, I = 71
- (0 1 2), 2θ = 35.9°, 2.499 Å, I = 71
- (2 1 1), 2θ = 39.1°, 2.301 Å, I = 29
- (1 2 1), 2θ = 40.1°, 2.250 Å, I = 88
- (2 0 2), 2θ = 45.3°, 2.001 Å, I = 48
- (2 2 2), 2θ = 57.2°, 1.612 Å, I = 24
- (3 2 1), 2θ = 61.9°, 1.500 Å, I = 25


This entry pairs a crystal structure of Cs3OsBr8 with its simulated powder diffractogram. Radiation: λ = 1.5418 Å (Cu Kα). Structure: a structure optimized by DFT (PBE).
Intensities are scaled so that the largest is 100.

Structure:
```
data_Cs3OsBr8
_space_group_name_H-M_alt 'P 63 m c'
_space_group_IT_number 186
_space_group_name_Hall 'P 6c -2c'
_cell_length_a 10.7209
_cell_length_b 10.7209
_cell_length_c 9.8174
_cell_angle_alpha 90.00
_cell_angle_beta 90.00
_cell_angle_gamma 120.00
loop_
_atom_site_label
_atom_site_type_symbol
_atom_site_fract_x
_atom_site_fract_y
_atom_site_fract_z
Cs1 Cs 0.1538 0.3077 0.0000
Os1 Os 0.3333 0.6667 0.4397
Br1 Br 0.0000 0.0000 0.2532
Br2 Br 0.1135 0.5568 0.2946
Br3 Br 0.2243 0.4486 0.5882
Br4 Br 0.3333 0.6667 0.9164
```

Main lines, low angle first (10 to 80 degrees two-theta):
- (1 0 1), 2θ = 13.1°, 6.746 Å, I = 44
- (1 1 0), 2θ = 16.5°, 5.360 Å, I = 32
- (0 0 2), 2θ = 18.1°, 4.909 Å, I = 24
- (2 0 1), 2θ = 21.2°, 4.197 Å, I = 78
- (2 0 2), 2θ = 26.4°, 3.373 Å, I = 100
- (3 0 1), 2θ = 30.3°, 2.952 Å, I = 42
- (2 1 2), 2θ = 31.3°, 2.855 Å, I = 31
- (2 2 0), 2θ = 33.5°, 2.678 Å, I = 83
- (2 2 2), 2θ = 38.3°, 2.352 Å, I = 34
- (2 2 4), 2θ = 50.4°, 1.809 Å, I = 29
- (3 3 0), 2θ = 51.1°, 1.787 Å, I = 20
- (4 2 1), 2θ = 53.0°, 1.727 Å, I = 29


This entry pairs a crystal structure of MnBeZnIr with its simulated powder diffractogram. Radiation: λ = 1.5418 Å (Cu Kα). Structure: a structure optimized by DFT (PBE).
Intensities are scaled so that the largest is 100.

Structure:
```
data_MnBeZnIr
_space_group_name_H-M_alt 'A m m 2'
_space_group_IT_number 38
_space_group_name_Hall 'A 2 -2'
_cell_length_a 3.6502
_cell_length_b 2.8188
_cell_length_c 9.8372
_cell_angle_alpha 90.00
_cell_angle_beta 90.00
_cell_angle_gamma 90.00
loop_
_atom_site_label
_atom_site_type_symbol
_atom_site_fract_x
_atom_site_fract_y
_atom_site_fract_z
Mn1 Mn 0.0000 0.0000 0.0000
Be1 Be 0.0000 0.0000 0.2397
Zn1 Zn 0.5000 0.0000 0.3839
Ir1 Ir 0.5000 0.0000 0.6544
```

Main lines, low angle first (10 to 80 degrees two-theta):
- (0 0 2), 2θ = 18.0°, 4.919 Å, I = 38
- (1 0 0), 2θ = 24.4°, 3.650 Å, I = 65
- (1 0 2), 2θ = 30.5°, 2.931 Å, I = 44
- (0 1 1), 2θ = 33.1°, 2.710 Å, I = 33
- (0 0 4), 2θ = 36.5°, 2.459 Å, I = 25
- (1 1 1), 2θ = 41.5°, 2.176 Å, I = 100
- (0 1 3), 2θ = 42.3°, 2.138 Å, I = 62
- (1 0 4), 2θ = 44.4°, 2.040 Å, I = 64
- (1 1 3), 2θ = 49.4°, 1.845 Å, I = 31
- (2 0 0), 2θ = 50.0°, 1.825 Å, I = 25
- (2 1 1), 2θ = 61.2°, 1.514 Å, I = 12
- (2 1 3), 2θ = 67.5°, 1.388 Å, I = 30


This entry pairs a crystal structure of ThCuNi with its simulated powder diffractogram. Radiation: λ = 1.5418 Å (Cu Kα). Structure: a structure optimized by DFT (PBE).
Intensities are scaled so that the largest is 100.

Structure:
```
data_ThCuNi
_space_group_name_H-M_alt 'P m m a'
_space_group_IT_number 51
_space_group_name_Hall '-P 2a 2a'
_cell_length_a 4.2284
_cell_length_b 3.6315
_cell_length_c 7.4145
_cell_angle_alpha 90.00
_cell_angle_beta 90.00
_cell_angle_gamma 90.00
loop_
_atom_site_label
_atom_site_type_symbol
_atom_site_fract_x
_atom_site_fract_y
_atom_site_fract_z
Th1 Th 0.2500 0.0000 0.2289
Cu1 Cu 0.2500 0.5000 0.5823
Ni1 Ni 0.2500 0.5000 0.9139
```

Main lines, low angle first (10 to 80 degrees two-theta):
- (0 0 2), 2θ = 24.0°, 3.707 Å, I = 17
- (1 0 1), 2θ = 24.2°, 3.673 Å, I = 34
- (0 1 2), 2θ = 34.6°, 2.594 Å, I = 48
- (1 1 1), 2θ = 34.7°, 2.582 Å, I = 100
- (1 0 3), 2θ = 42.4°, 2.134 Å, I = 40
- (2 0 0), 2θ = 42.8°, 2.114 Å, I = 22
- (0 2 0), 2θ = 50.2°, 1.816 Å, I = 13
- (0 1 4), 2θ = 55.7°, 1.651 Å, I = 11
- (2 1 2), 2θ = 56.1°, 1.639 Å, I = 24
- (1 2 3), 2θ = 67.8°, 1.383 Å, I = 19
- (2 2 0), 2θ = 68.1°, 1.377 Å, I = 11
- (3 1 1), 2θ = 73.1°, 1.294 Å, I = 12


This entry pairs a crystal structure of MgBIr with its simulated powder diffractogram. Radiation: λ = 1.5418 Å (Cu Kα). Structure: a structure optimized by DFT (PBE).
Intensities are scaled so that the largest is 100.

Structure:
```
data_MgBIr
_space_group_name_H-M_alt 'C 1 2/m 1'
_space_group_IT_number 12
_space_group_name_Hall '-C 2y'
_cell_length_a 6.3806
_cell_length_b 5.4485
_cell_length_c 4.7696
_cell_angle_alpha 90.00
_cell_angle_beta 101.54
_cell_angle_gamma 90.00
loop_
_atom_site_label
_atom_site_type_symbol
_atom_site_fract_x
_atom_site_fract_y
_atom_site_fract_z
Mg1 Mg 0.0000 0.2466 0.0000
B1 B 0.0000 0.3252 0.5000
Ir1 Ir 0.2143 0.0000 0.5815
```

Main lines, low angle first (10 to 80 degrees two-theta):
- (0 0 1), 2θ = 19.0°, 4.673 Å, I = 100
- (1 1 -1), 2θ = 27.0°, 3.308 Å, I = 59
- (2 0 0), 2θ = 28.6°, 3.126 Å, I = 31
- (2 0 -1), 2θ = 31.1°, 2.878 Å, I = 22
- (0 2 0), 2θ = 32.9°, 2.724 Å, I = 30
- (2 0 1), 2θ = 37.7°, 2.387 Å, I = 35
- (0 2 1), 2θ = 38.2°, 2.354 Å, I = 55
- (1 1 -2), 2θ = 41.9°, 2.156 Å, I = 38
- (2 2 0), 2θ = 44.1°, 2.054 Å, I = 43
- (3 1 -1), 2θ = 47.1°, 1.929 Å, I = 28
- (2 2 1), 2θ = 50.9°, 1.795 Å, I = 20
- (3 1 -2), 2θ = 55.5°, 1.655 Å, I = 21


This entry pairs a crystal structure of Ag7C5 with its simulated powder diffractogram. Radiation: λ = 1.5418 Å (Cu Kα). Structure: a structure optimized by DFT (PBE).
Intensities are scaled so that the largest is 100.

Structure:
```
data_Ag7C5
_space_group_name_H-M_alt 'I 4 m m'
_space_group_IT_number 107
_space_group_name_Hall 'I 4 -2'
_cell_length_a 6.3344
_cell_length_b 6.3344
_cell_length_c 10.6693
_cell_angle_alpha 90.00
_cell_angle_beta 90.00
_cell_angle_gamma 90.00
loop_
_atom_site_label
_atom_site_type_symbol
_atom_site_fract_x
_atom_site_fract_y
_atom_site_fract_z
Ag1 Ag 0.0000 0.0000 0.0000
Ag2 Ag 0.0000 0.2934 0.7931
Ag3 Ag 0.0000 0.5000 0.0488
C1 C 0.0000 0.0000 0.1972
C2 C 0.1188 0.1188 0.3097
```

Main lines, low angle first (10 to 80 degrees two-theta):
- (1 0 1), 2θ = 16.3°, 5.447 Å, I = 87
- (0 0 2), 2θ = 16.6°, 5.335 Å, I = 22
- (1 1 0), 2θ = 19.8°, 4.479 Å, I = 31
- (2 0 0), 2θ = 28.2°, 3.167 Å, I = 52
- (2 1 1), 2θ = 32.7°, 2.738 Å, I = 64
- (2 0 2), 2θ = 32.9°, 2.723 Å, I = 37
- (0 0 4), 2θ = 33.6°, 2.667 Å, I = 63
- (1 1 4), 2θ = 39.3°, 2.292 Å, I = 26
- (2 1 3), 2θ = 40.7°, 2.216 Å, I = 59
- (3 0 1), 2θ = 43.7°, 2.071 Å, I = 42
- (2 2 2), 2θ = 43.8°, 2.065 Å, I = 100
- (2 2 6), 2θ = 67.2°, 1.393 Å, I = 20


This entry pairs a crystal structure of Mg5Zn4Au with its simulated powder diffractogram. Radiation: λ = 1.5418 Å (Cu Kα). Structure: a structure optimized by DFT (PBE).
Intensities are scaled so that the largest is 100.

Structure:
```
data_Mg5Zn4Au
_space_group_name_H-M_alt 'P 4/m m m'
_space_group_IT_number 123
_space_group_name_Hall '-P 4 2'
_cell_length_a 3.2984
_cell_length_b 3.2984
_cell_length_c 16.6234
_cell_angle_alpha 90.00
_cell_angle_beta 90.00
_cell_angle_gamma 90.00
loop_
_atom_site_label
_atom_site_type_symbol
_atom_site_fract_x
_atom_site_fract_y
_atom_site_fract_z
Mg1 Mg 0.0000 0.0000 0.0000
Mg2 Mg 0.0000 0.0000 0.1979
Mg3 Mg 0.0000 0.0000 0.4021
Zn1 Zn 0.5000 0.5000 0.0992
Zn2 Zn 0.5000 0.5000 0.2987
Au1 Au 0.5000 0.5000 0.5000
```

Main lines, low angle first (10 to 80 degrees two-theta):
- (0 0 2), 2θ = 10.6°, 8.312 Å, I = 21
- (0 0 3), 2θ = 16.0°, 5.541 Å, I = 9
- (0 0 5), 2θ = 26.8°, 3.325 Å, I = 22
- (1 0 0), 2θ = 27.0°, 3.298 Å, I = 42
- (1 0 1), 2θ = 27.6°, 3.235 Å, I = 10
- (1 0 5), 2θ = 38.4°, 2.342 Å, I = 100
- (1 1 0), 2θ = 38.6°, 2.332 Å, I = 49
- (1 1 5), 2θ = 47.6°, 1.909 Å, I = 18
- (0 0 10), 2θ = 55.3°, 1.663 Å, I = 10
- (2 0 0), 2θ = 55.7°, 1.649 Å, I = 17
- (1 1 10), 2θ = 69.4°, 1.354 Å, I = 17
- (2 1 5), 2θ = 69.7°, 1.348 Å, I = 33


This entry pairs a crystal structure of BaScSi2 with its simulated powder diffractogram. Radiation: λ = 1.5418 Å (Cu Kα). Structure: a structure optimized by DFT (PBE).
Intensities are scaled so that the largest is 100.

Structure:
```
data_BaScSi2
_space_group_name_H-M_alt 'A m m 2'
_space_group_IT_number 38
_space_group_name_Hall 'A 2 -2'
_cell_length_a 3.8226
_cell_length_b 4.2381
_cell_length_c 13.0312
_cell_angle_alpha 90.00
_cell_angle_beta 90.00
_cell_angle_gamma 90.00
loop_
_atom_site_label
_atom_site_type_symbol
_atom_site_fract_x
_atom_site_fract_y
_atom_site_fract_z
Ba1 Ba 0.0000 0.0000 0.0000
Sc1 Sc 0.5000 0.0000 0.2607
Si1 Si 0.0000 0.0000 0.7412
Si2 Si 0.5000 0.0000 0.6245
```

Main lines, low angle first (10 to 80 degrees two-theta):
- (0 0 2), 2θ = 13.6°, 6.516 Å, I = 27
- (0 1 1), 2θ = 22.1°, 4.030 Å, I = 55
- (1 0 2), 2θ = 27.0°, 3.297 Å, I = 66
- (0 0 4), 2θ = 27.4°, 3.258 Å, I = 45
- (0 1 3), 2θ = 29.4°, 3.033 Å, I = 70
- (1 1 1), 2θ = 32.3°, 2.773 Å, I = 100
- (1 0 4), 2θ = 36.2°, 2.479 Å, I = 29
- (1 1 3), 2θ = 37.9°, 2.376 Å, I = 49
- (0 2 0), 2θ = 42.7°, 2.119 Å, I = 23
- (1 1 5), 2θ = 47.4°, 1.920 Å, I = 28
- (1 2 2), 2θ = 51.2°, 1.783 Å, I = 22
- (2 1 3), 2θ = 56.9°, 1.617 Å, I = 21


This entry pairs a crystal structure of Y2ScCd3 with its simulated powder diffractogram. Radiation: λ = 1.5418 Å (Cu Kα). Structure: a structure optimized by DFT (PBE).
Intensities are scaled so that the largest is 100.

Structure:
```
data_Y2ScCd3
_space_group_name_H-M_alt 'P 4/m m m'
_space_group_IT_number 123
_space_group_name_Hall '-P 4 2'
_cell_length_a 3.6699
_cell_length_b 3.6699
_cell_length_c 11.1092
_cell_angle_alpha 90.00
_cell_angle_beta 90.00
_cell_angle_gamma 90.00
loop_
_atom_site_label
_atom_site_type_symbol
_atom_site_fract_x
_atom_site_fract_y
_atom_site_fract_z
Y1 Y 0.0000 0.0000 0.1735
Sc1 Sc 0.0000 0.0000 0.5000
Cd1 Cd 0.5000 0.5000 0.0000
Cd2 Cd 0.5000 0.5000 0.3504
```

Main lines, low angle first (10 to 80 degrees two-theta):
- (1 0 0), 2θ = 24.3°, 3.670 Å, I = 5
- (1 0 1), 2θ = 25.6°, 3.485 Å, I = 2
- (1 0 2), 2θ = 29.2°, 3.062 Å, I = 5
- (1 0 3), 2θ = 34.4°, 2.607 Å, I = 100
- (1 1 0), 2θ = 34.6°, 2.595 Å, I = 52
- (0 0 6), 2θ = 49.2°, 1.852 Å, I = 8
- (2 0 0), 2θ = 49.7°, 1.835 Å, I = 18
- (1 1 5), 2θ = 54.4°, 1.688 Å, I = 3
- (1 1 6), 2θ = 61.5°, 1.507 Å, I = 15
- (2 1 3), 2θ = 61.8°, 1.500 Å, I = 34
- (2 0 6), 2θ = 72.5°, 1.303 Å, I = 9
- (2 2 0), 2θ = 72.9°, 1.298 Å, I = 8


This entry pairs a crystal structure of SmGa2AgPt5 with its simulated powder diffractogram. Radiation: λ = 1.5418 Å (Cu Kα). Structure: a structure optimized by DFT (PBE).
Intensities are scaled so that the largest is 100.

Structure:
```
data_SmGa2AgPt5
_space_group_name_H-M_alt 'P 4/m m m'
_space_group_IT_number 123
_space_group_name_Hall '-P 4 2'
_cell_length_a 4.1092
_cell_length_b 4.1092
_cell_length_c 9.6324
_cell_angle_alpha 90.00
_cell_angle_beta 90.00
_cell_angle_gamma 90.00
loop_
_atom_site_label
_atom_site_type_symbol
_atom_site_fract_x
_atom_site_fract_y
_atom_site_fract_z
Sm1 Sm 0.0000 0.0000 0.0000
Ga1 Ga 0.5000 0.5000 0.3737
Ag1 Ag 0.0000 0.0000 0.5000
Pt1 Pt 0.0000 0.5000 0.2262
Pt2 Pt 0.5000 0.5000 0.0000
```

Main lines, low angle first (10 to 80 degrees two-theta):
- (0 0 2), 2θ = 18.4°, 4.816 Å, I = 7
- (1 1 2), 2θ = 36.1°, 2.488 Å, I = 100
- (0 0 4), 2θ = 37.3°, 2.408 Å, I = 14
- (1 1 3), 2θ = 41.9°, 2.154 Å, I = 21
- (2 0 0), 2θ = 44.1°, 2.055 Å, I = 38
- (0 0 5), 2θ = 47.2°, 1.926 Å, I = 6
- (2 0 4), 2θ = 59.1°, 1.563 Å, I = 15
- (2 2 0), 2θ = 64.1°, 1.453 Å, I = 13
- (1 1 6), 2θ = 66.5°, 1.405 Å, I = 20
- (3 1 2), 2θ = 75.8°, 1.255 Å, I = 23
- (2 2 4), 2θ = 76.6°, 1.244 Å, I = 13
- (0 0 8), 2θ = 79.6°, 1.204 Å, I = 8


This entry pairs a crystal structure of V3PtRh with its simulated powder diffractogram. Radiation: λ = 1.5418 Å (Cu Kα). Structure: a structure optimized by DFT (PBE).
Intensities are scaled so that the largest is 100.

Structure:
```
data_V3PtRh
_space_group_name_H-M_alt 'P 1 21/m 1'
_space_group_IT_number 11
_space_group_name_Hall '-P 2yb'
_cell_length_a 5.1090
_cell_length_b 6.3594
_cell_length_c 5.1808
_cell_angle_alpha 90.00
_cell_angle_beta 117.89
_cell_angle_gamma 90.00
loop_
_atom_site_label
_atom_site_type_symbol
_atom_site_fract_x
_atom_site_fract_y
_atom_site_fract_z
V1 V 0.1457 0.2500 0.3397
V2 V 0.3353 0.5681 0.1822
Pt1 Pt 0.1600 0.2500 0.8274
Rh1 Rh 0.3310 0.7500 0.6670
```

Main lines, low angle first (10 to 80 degrees two-theta):
- (1 1 -1), 2θ = 24.6°, 3.622 Å, I = 100
- (0 2 0), 2θ = 28.1°, 3.180 Å, I = 95
- (1 2 -1), 2θ = 34.8°, 2.579 Å, I = 39
- (0 0 2), 2θ = 39.4°, 2.290 Å, I = 30
- (2 0 -2), 2θ = 41.0°, 2.203 Å, I = 21
- (0 1 2), 2θ = 41.9°, 2.154 Å, I = 86
- (2 1 0), 2θ = 42.5°, 2.128 Å, I = 94
- (2 1 -2), 2θ = 43.5°, 2.082 Å, I = 79
- (1 2 1), 2θ = 44.5°, 2.037 Å, I = 67
- (1 2 -2), 2θ = 45.2°, 2.007 Å, I = 26
- (1 3 0), 2θ = 47.4°, 1.919 Å, I = 20
- (1 3 -1), 2θ = 47.6°, 1.910 Å, I = 47